# 1
# Li3MnVP3O12
Theoretical X-ray powder pattern, λ = 1.5418 Å (Cu Kα). Input: a cell relaxed with GGA+U.
Neutral-atom scattering factors, no anomalous dispersion.

Largest 12 diffraction maxima, most intense first, 2θ = 5–70°:
two_theta	I (rel.)	hkl
23.85	100.0	1 -2 1
14.20	81.2	0 1 -1
28.62	54.1	0 2 -2
31.04	45.2	1 1 1
19.52	40.3	1 0 -2
14.44	36.6	-1 1 1
19.30	36.2	1 -1 1
19.40	27.7	0 1 1
24.25	27.4	-2 1 2
29.12	27.4	-2 2 2
23.93	26.0	2 -1 0
24.07	24.8	-1 2 1

Cell and atoms:
```
Li3MnVP3O12
1.0
8.3834 0.0000 0.0000
-4.1537 7.3560 0.0000
-4.0831 -2.4898 7.8196
Li Mn V P O
6 2 2 6 24
direct
0.0000 0.0000 0.0000 Li
0.0054 0.8095 0.5580 Li
0.1994 0.4000 0.2883 Li
0.6165 0.1485 0.2907 Li
0.7425 0.3372 0.0088 Li
0.8340 0.8283 0.2312 Li
0.1109 0.2339 0.5931 Mn
0.5166 0.9242 0.7162 Mn
0.1265 0.7295 0.1110 V
0.4972 0.4232 0.1871 V
0.0052 0.5404 0.3985 P
0.0214 0.3311 0.9019 P
0.3070 0.1178 0.3943 P
0.3181 0.0337 0.9072 P
0.5910 0.8122 0.4031 P
0.6085 0.6115 0.9022 P
0.0170 0.3058 0.7375 O
0.0686 0.5520 0.2575 O
0.1126 0.5476 0.9811 O
0.1174 0.9155 0.2445 O
0.1668 0.9068 0.9733 O
0.1689 0.2820 0.0438 O
0.1758 0.0493 0.7393 O
0.1833 0.2023 0.4031 O
0.1892 0.7005 0.5674 O
0.4262 0.4656 0.7306 O
0.4313 0.0885 0.5587 O
0.4347 0.9480 0.8875 O
0.4458 0.8731 0.2706 O
0.4532 0.2410 0.3259 O
0.4842 0.5958 0.3297 O
0.5015 0.2312 0.0508 O
0.5425 0.5862 0.0406 O
0.6103 0.8516 0.5763 O
0.6975 0.8225 0.9054 O
0.8005 0.2062 0.8847 O
0.8044 0.5876 0.9727 O
0.8133 0.9239 0.4186 O
0.8239 0.5783 0.3399 O
0.9267 0.3365 0.4092 O
```



# 2
# Li6MnV3P6O24
Theoretical X-ray powder pattern, λ = 1.5418 Å (Cu Kα). Input: a cell relaxed with GGA+U.
Neutral-atom scattering factors, no anomalous dispersion.

Largest 12 diffraction maxima, most intense first, 2θ = 5–70°:
two_theta	I (rel.)	hkl
23.75	100.0	0 1 -2
20.41	56.5	1 0 -2
14.06	41.5	1 0 0
23.90	31.4	0 2 -1
24.20	30.5	-2 2 1
23.39	29.9	1 1 0
28.34	26.5	2 0 0
20.21	25.7	1 1 -1
14.40	23.9	0 1 -1
20.50	23.7	-2 1 1
28.95	23.0	0 2 -2
29.14	22.1	-2 2 2

Cell and atoms:
```
Li6MnV3P6O24
1.0
8.6677 0.0000 0.0000
-4.2194 7.5843 0.0000
-4.2063 -2.4006 7.2477
Li Mn V P O
6 1 3 6 24
direct
0.0000 0.0000 0.0000 Li
0.9995 0.3075 0.4984 Li
0.3982 0.7198 0.5691 Li
0.3976 0.9806 0.0680 Li
0.7520 0.6103 0.5336 Li
0.7538 0.4556 0.0306 Li
0.1724 0.4922 0.1773 Mn
0.1724 0.9883 0.6789 V
0.5871 0.1926 0.4597 V
0.5872 0.7037 0.9612 V
0.1007 0.5931 0.7759 P
0.1043 0.8155 0.2749 P
0.3836 0.3012 0.0747 P
0.3860 0.3937 0.5761 P
0.6572 0.0952 0.8587 P
0.6608 0.8731 0.3627 P
0.0562 0.7470 0.7372 O
0.0633 0.6174 0.2382 O
0.1467 0.5929 0.9682 O
0.1490 0.8631 0.4659 O
0.2141 0.1068 0.9218 O
0.2153 0.4204 0.4232 O
0.2521 0.3349 0.1268 O
0.2608 0.2321 0.6293 O
0.2868 0.9635 0.2596 O
0.2903 0.6328 0.7652 O
0.4617 0.0436 0.8662 O
0.4781 0.7321 0.3802 O
0.5080 0.4559 0.0156 O
0.5109 0.3624 0.5138 O
0.5553 0.2851 0.2384 O
0.5582 0.5779 0.7398 O
0.5991 0.8244 0.1629 O
0.6009 0.0868 0.6613 O
0.7125 0.9483 0.9042 O
0.7141 0.0742 0.4054 O
0.8387 0.2879 0.0009 O
0.8550 0.8714 0.5050 O
0.9004 0.7940 0.1143 O
0.9044 0.4118 0.6161 O
```



# 3
# Li2MnVP4O14
Theoretical X-ray powder pattern, λ = 1.5418 Å (Cu Kα). Input: a cell relaxed with GGA+U.
Neutral-atom scattering factors, no anomalous dispersion.

Largest 12 diffraction maxima, most intense first, 2θ = 5–70°:
two_theta	I (rel.)	hkl
17.03	100.0	1 1 0
29.17	55.7	0 2 2
22.36	43.8	0 1 2
28.95	28.8	2 1 -2
29.57	27.2	1 1 2
26.83	20.9	2 0 -2
22.09	20.1	1 1 -2
25.24	18.9	1 2 0
42.94	13.5	1 3 2
34.45	12.5	2 2 0
39.61	11.9	3 1 -2
28.80	10.7	2 1 0

Cell and atoms:
```
Li2MnVP4O14
1.0
7.1663 0.0000 0.0000
0.0000 8.3111 0.0000
-3.5118 0.0000 9.0549
Li Mn V P O
4 2 2 8 28
direct
0.1730 0.0000 0.2496 Li
0.1741 0.0009 0.7488 Li
0.8259 0.5009 0.2512 Li
0.8270 0.5000 0.7504 Li
0.2297 0.3611 0.7578 Mn
0.7703 0.8611 0.2422 Mn
0.2271 0.3605 0.2570 V
0.7729 0.8605 0.7430 V
0.0167 0.6822 0.5585 P
0.0226 0.6804 0.0611 P
0.4112 0.5767 0.5639 P
0.4119 0.5717 0.0613 P
0.5881 0.0717 0.9387 P
0.5888 0.0767 0.4361 P
0.9774 0.1804 0.9389 P
0.9833 0.1822 0.4415 P
0.0064 0.5176 0.1296 O
0.0071 0.0200 0.3776 O
0.0168 0.3231 0.8524 O
0.0185 0.3250 0.3530 O
0.1046 0.1834 0.1042 O
0.1098 0.1887 0.6080 O
0.2488 0.7065 0.5774 O
0.2535 0.7050 0.0774 O
0.3490 0.5322 0.8968 O
0.3516 0.5344 0.4016 O
0.3863 0.1547 0.8803 O
0.3886 0.1652 0.3762 O
0.4099 0.4226 0.1545 O
0.4139 0.4270 0.6579 O
0.5861 0.9270 0.3421 O
0.5901 0.9226 0.8455 O
0.6114 0.6652 0.6238 O
0.6137 0.6547 0.1197 O
0.6484 0.0344 0.5984 O
0.6510 0.0322 0.1032 O
0.7465 0.2050 0.9226 O
0.7512 0.2065 0.4226 O
0.8902 0.6887 0.3920 O
0.8954 0.6834 0.8958 O
0.9815 0.8250 0.6470 O
0.9832 0.8231 0.1476 O
0.9929 0.5200 0.6224 O
0.9936 0.0176 0.8704 O
```



Repeat the first record exactly.
# Li3MnVP3O12
Theoretical X-ray powder pattern, λ = 1.5418 Å (Cu Kα). Input: a cell relaxed with GGA+U.
Neutral-atom scattering factors, no anomalous dispersion.

Largest 12 diffraction maxima, most intense first, 2θ = 5–70°:
two_theta	I (rel.)	hkl
23.85	100.0	1 -2 1
14.20	81.2	0 1 -1
28.62	54.1	0 2 -2
31.04	45.2	1 1 1
19.52	40.3	1 0 -2
14.44	36.6	-1 1 1
19.30	36.2	1 -1 1
19.40	27.7	0 1 1
24.25	27.4	-2 1 2
29.12	27.4	-2 2 2
23.93	26.0	2 -1 0
24.07	24.8	-1 2 1

Cell and atoms:
```
Li3MnVP3O12
1.0
8.3834 0.0000 0.0000
-4.1537 7.3560 0.0000
-4.0831 -2.4898 7.8196
Li Mn V P O
6 2 2 6 24
direct
0.0000 0.0000 0.0000 Li
0.0054 0.8095 0.5580 Li
0.1994 0.4000 0.2883 Li
0.6165 0.1485 0.2907 Li
0.7425 0.3372 0.0088 Li
0.8340 0.8283 0.2312 Li
0.1109 0.2339 0.5931 Mn
0.5166 0.9242 0.7162 Mn
0.1265 0.7295 0.1110 V
0.4972 0.4232 0.1871 V
0.0052 0.5404 0.3985 P
0.0214 0.3311 0.9019 P
0.3070 0.1178 0.3943 P
0.3181 0.0337 0.9072 P
0.5910 0.8122 0.4031 P
0.6085 0.6115 0.9022 P
0.0170 0.3058 0.7375 O
0.0686 0.5520 0.2575 O
0.1126 0.5476 0.9811 O
0.1174 0.9155 0.2445 O
0.1668 0.9068 0.9733 O
0.1689 0.2820 0.0438 O
0.1758 0.0493 0.7393 O
0.1833 0.2023 0.4031 O
0.1892 0.7005 0.5674 O
0.4262 0.4656 0.7306 O
0.4313 0.0885 0.5587 O
0.4347 0.9480 0.8875 O
0.4458 0.8731 0.2706 O
0.4532 0.2410 0.3259 O
0.4842 0.5958 0.3297 O
0.5015 0.2312 0.0508 O
0.5425 0.5862 0.0406 O
0.6103 0.8516 0.5763 O
0.6975 0.8225 0.9054 O
0.8005 0.2062 0.8847 O
0.8044 0.5876 0.9727 O
0.8133 0.9239 0.4186 O
0.8239 0.5783 0.3399 O
0.9267 0.3365 0.4092 O
```